1.
This entry pairs a crystal structure of PrBi with its theoretical powder diffractogram. Radiation: Cu Ka. Structure: a GGA-PBE-relaxed structure.

Cell and atoms:
a = 6.565 Å, b = 6.565 Å, c = 6.565 Å
α = 90.00°, β = 90.00°, γ = 90.00°
Fractional coordinates of all 8 atoms:
Pr (0.000, 0.000, 0.000)
Pr (0.000, 0.500, 0.500)
Pr (0.500, 0.000, 0.500)
Pr (0.500, 0.500, 0.000)
Bi (0.000, 0.000, 0.500)
Bi (0.000, 0.500, 0.000)
Bi (0.500, 0.000, 0.000)
Bi (0.500, 0.500, 0.500)

Principal peaks in the range 2θ = 15–90°, in order of rising 2θ:
23.47 deg, rel. 6
27.17 deg, rel. 100
38.80 deg, rel. 79
45.84 deg, rel. 4
48.00 deg, rel. 29
56.03 deg, rel. 14
63.35 deg, rel. 38
70.23 deg, rel. 28
83.25 deg, rel. 9
89.58 deg, rel. 20


2.
This entry pairs a crystal structure of PrBi with its theoretical powder diffractogram. Radiation: Cu Ka. Structure: a GGA-PBE-relaxed structure.

Cell and atoms:
a = 4.010 Å, b = 4.010 Å, c = 4.010 Å
α = 90.00°, β = 90.00°, γ = 90.00°
Fractional coordinates of all 2 atoms:
Pr (0.000, 0.000, 0.000)
Bi (0.500, 0.500, 0.500)

Principal peaks in the range 2θ = 15–90°, in order of rising 2θ:
22.17 deg, rel. 4
31.55 deg, rel. 100
38.90 deg, rel. 1
45.22 deg, rel. 19
50.91 deg, rel. 2
56.18 deg, rel. 40
65.87 deg, rel. 12
70.44 deg, rel. 1
74.87 deg, rel. 17
83.50 deg, rel. 4


3.
This entry pairs a crystal structure of Pr4Bi3 with its theoretical powder diffractogram. Radiation: Cu Ka. Structure: a GGA-PBE-relaxed structure.

Cell and atoms:
a = 8.466 Å, b = 8.466 Å, c = 8.466 Å
α = 109.47°, β = 109.47°, γ = 109.47°
Fractional coordinates of all 14 atoms:
Pr (0.000, 0.142, 0.500)
Pr (0.000, 0.642, 0.500)
Pr (0.142, 0.500, 0.000)
Pr (0.358, 0.358, 0.358)
Pr (0.500, 0.000, 0.142)
Pr (0.500, 0.000, 0.642)
Pr (0.642, 0.500, 0.000)
Pr (0.858, 0.858, 0.858)
Bi (0.125, 0.875, 0.250)
Bi (0.250, 0.125, 0.875)
Bi (0.375, 0.625, 0.750)
Bi (0.625, 0.750, 0.375)
Bi (0.750, 0.375, 0.625)
Bi (0.875, 0.250, 0.125)

Principal peaks in the range 2θ = 15–90°, in order of rising 2θ:
22.28 deg, rel. 14
28.88 deg, rel. 100
34.32 deg, rel. 64
41.30 deg, rel. 21
43.42 deg, rel. 14
45.46 deg, rel. 12
47.42 deg, rel. 21
58.18 deg, rel. 31
61.47 deg, rel. 15
70.83 deg, rel. 21


4.
This entry pairs a crystal structure of PrBi with its theoretical powder diffractogram. Radiation: Cu Ka. Structure: a GGA-PBE-relaxed structure.

Cell and atoms:
a = 4.278 Å, b = 4.278 Å, c = 3.479 Å
α = 90.00°, β = 90.00°, γ = 90.00°
Fractional coordinates of all 2 atoms:
Pr (0.000, 0.000, 0.000)
Bi (0.500, 0.500, 0.500)

Principal peaks in the range 2θ = 15–90°, in order of rising 2θ:
29.53 deg, rel. 68
33.19 deg, rel. 100
42.25 deg, rel. 26
54.76 deg, rel. 49
61.29 deg, rel. 9
61.49 deg, rel. 17
69.49 deg, rel. 12
69.67 deg, rel. 12
71.51 deg, rel. 11
86.71 deg, rel. 14


5.
This entry pairs a crystal structure of Pr2Bi with its theoretical powder diffractogram. Radiation: Cu Ka. Structure: a GGA-PBE-relaxed structure.

Cell and atoms:
a = 4.670 Å, b = 4.670 Å, c = 18.302 Å
α = 90.00°, β = 90.00°, γ = 90.00°
Fractional coordinates of all 12 atoms:
Pr (0.000, 0.000, 0.179)
Pr (0.000, 0.000, 0.821)
Pr (0.000, 0.500, 0.000)
Pr (0.000, 0.500, 0.500)
Pr (0.500, 0.000, 0.000)
Pr (0.500, 0.000, 0.500)
Pr (0.500, 0.500, 0.321)
Pr (0.500, 0.500, 0.679)
Bi (0.000, 0.000, 0.361)
Bi (0.000, 0.000, 0.639)
Bi (0.500, 0.500, 0.139)
Bi (0.500, 0.500, 0.861)

Principal peaks in the range 2θ = 15–90°, in order of rising 2θ:
27.00 deg, rel. 27
28.74 deg, rel. 79
29.28 deg, rel. 37
31.04 deg, rel. 30
33.47 deg, rel. 100
38.56 deg, rel. 61
39.50 deg, rel. 20
49.14 deg, rel. 35
55.67 deg, rel. 21
66.54 deg, rel. 28


6.
This entry pairs a crystal structure of Pr5Bi3 with its theoretical powder diffractogram. Radiation: Cu Ka. Structure: a GGA-PBE-relaxed structure.

Cell and atoms:
a = 9.614 Å, b = 9.614 Å, c = 6.626 Å
α = 90.00°, β = 90.00°, γ = 120.00°
Fractional coordinates of all 16 atoms:
Pr (0.000, 0.248, 0.250)
Pr (0.000, 0.752, 0.750)
Pr (0.248, 0.000, 0.250)
Pr (0.248, 0.248, 0.750)
Pr (0.333, 0.667, 0.000)
Pr (0.333, 0.667, 0.500)
Pr (0.667, 0.333, 0.000)
Pr (0.667, 0.333, 0.500)
Pr (0.752, 0.000, 0.750)
Pr (0.752, 0.752, 0.250)
Bi (0.000, 0.387, 0.750)
Bi (0.000, 0.613, 0.250)
Bi (0.387, 0.000, 0.750)
Bi (0.387, 0.387, 0.250)
Bi (0.613, 0.000, 0.250)
Bi (0.613, 0.613, 0.750)

Principal peaks in the range 2θ = 15–90°, in order of rising 2θ:
26.91 deg, rel. 25
28.36 deg, rel. 21
31.47 deg, rel. 100
32.26 deg, rel. 59
32.83 deg, rel. 79
41.41 deg, rel. 23
46.69 deg, rel. 19
50.48 deg, rel. 27
55.50 deg, rel. 19
62.42 deg, rel. 20


7.
This entry pairs a crystal structure of Pr3Bi4Pt3 with its theoretical powder diffractogram. Radiation: Cu Ka. Structure: a GGA-PBE-relaxed structure.

Cell and atoms:
a = 8.819 Å, b = 8.819 Å, c = 8.819 Å
α = 109.47°, β = 109.47°, γ = 109.47°
Fractional coordinates of all 20 atoms:
Pr (0.125, 0.875, 0.250)
Pr (0.250, 0.125, 0.875)
Pr (0.375, 0.625, 0.750)
Pr (0.625, 0.750, 0.375)
Pr (0.750, 0.375, 0.625)
Pr (0.875, 0.250, 0.125)
Bi (0.000, 0.174, 0.500)
Bi (0.000, 0.674, 0.500)
Bi (0.174, 0.500, 0.000)
Bi (0.326, 0.326, 0.326)
Bi (0.500, 0.000, 0.174)
Bi (0.500, 0.000, 0.674)
Bi (0.674, 0.500, 0.000)
Bi (0.826, 0.826, 0.826)
Pt (0.125, 0.750, 0.875)
Pt (0.250, 0.625, 0.375)
Pt (0.375, 0.250, 0.625)
Pt (0.625, 0.375, 0.250)
Pt (0.750, 0.875, 0.125)
Pt (0.875, 0.125, 0.750)

Principal peaks in the range 2θ = 15–90°, in order of rising 2θ:
21.37 deg, rel. 18
27.70 deg, rel. 12
32.91 deg, rel. 100
39.58 deg, rel. 29
43.54 deg, rel. 17
45.41 deg, rel. 21
48.99 deg, rel. 10
57.21 deg, rel. 12
61.79 deg, rel. 10
67.60 deg, rel. 10


8.
This entry pairs a crystal structure of Pr2ZnBi4 with its theoretical powder diffractogram. Radiation: Cu Ka. Structure: a GGA-PBE-relaxed structure.

Cell and atoms:
a = 4.616 Å, b = 4.616 Å, c = 10.097 Å
α = 90.00°, β = 90.00°, γ = 90.00°
Fractional coordinates of all 7 atoms:
Pr (0.000, 0.500, 0.240)
Pr (0.500, 0.000, 0.760)
Zn (0.000, 0.000, 0.000)
Bi (0.000, 0.000, 0.500)
Bi (0.000, 0.500, 0.840)
Bi (0.500, 0.000, 0.160)
Bi (0.500, 0.500, 0.500)

Principal peaks in the range 2θ = 15–90°, in order of rising 2θ:
26.16 deg, rel. 24
26.48 deg, rel. 31
28.74 deg, rel. 53
32.67 deg, rel. 100
39.02 deg, rel. 49
47.78 deg, rel. 26
49.25 deg, rel. 16
56.37 deg, rel. 17
64.53 deg, rel. 26
66.70 deg, rel. 26